Entry 1:
The following is a calculated powder diffractogram of Hf2ZrAl3. It was derived from DFT lattice parameters and positions (GGA-PBE), using Cu Kα (weighted mean of Kα1 and Kα2).

Top 8 peaks for 15 to 90 degrees two-theta, in order of rising 2θ:
(1 3 0), d = 3.583 Å, I 78.7; (0 0 1), d = 2.979 Å, I 24.6; (2 0 0), d = 2.533 Å, I 69.7; (1 3 1), d = 2.290 Å, I 100.0; (2 0 1), d = 1.930 Å, I 28.9; (2 6 0), d = 1.791 Å, I 23.6; (3 3 0), d = 1.602 Å, I 16.7; (3 3 1), d = 1.411 Å, I 42.9

Lattice parameters (Å, degrees): 5.065 15.204 2.979 90.00 90.00 90.00
Space group Cmmm (No. 65)
Asymmetric unit:
Hf  0.000  0.168  0.000
Zr  0.000  0.500  0.000
Al  0.000  0.000  0.500
Al  0.000  0.333  0.500


Entry 2:
The following is a calculated powder diffractogram of KCd6Bi4. It was derived from DFT lattice parameters and positions (GGA-PBE), using Cu Kα (weighted mean of Kα1 and Kα2).

Top 8 peaks for 15 to 90 degrees two-theta, in order of rising 2θ:
(1 0 3), d = 4.513 Å, I 43.2; (1 0 5), d = 3.747 Å, I 56.2; (2 0 0), d = 2.612 Å, I 65.2; (1 1 8), d = 2.486 Å, I 100.0; (2 1 3), d = 2.260 Å, I 17.9; (2 1 5), d = 2.143 Å, I 25.5; (2 2 0), d = 1.847 Å, I 23.3; (3 1 8), d = 1.482 Å, I 40.1

Lattice parameters (Å, degrees): 5.224 5.224 26.885 90.00 90.00 90.00
Space group I4/mmm (No. 139)
Asymmetric unit:
K  0.000  0.000  0.000
Cd  0.000  0.500  0.125
Cd  0.000  0.500  0.250
Bi  0.000  0.000  0.191
Bi  0.000  0.000  0.433


Entry 3:
The following is a calculated powder diffractogram of Pr4Ag3. It was derived from DFT lattice parameters and positions (GGA-PBE), using Cu Kα (weighted mean of Kα1 and Kα2).

Top 8 peaks for 15 to 90 degrees two-theta, in order of rising 2θ:
(3 -1 1), d = 3.829 Å, I 1.3; (1 3 1), d = 3.055 Å, I 1.2; (4 1 0), d = 2.708 Å, I 100.0; (6 -2 2), d = 1.915 Å, I 17.0; (3 6 0), d = 1.563 Å, I 33.3; (8 2 0), d = 1.354 Å, I 10.0; (11 -6 2), d = 1.211 Å, I 12.9; (4 8 2), d = 1.105 Å, I 3.2

Lattice parameters (Å, degrees): 14.3291 14.3291 6.6325 90.00 90.00 120.00
Space group R-3 (No. 148, hexagonal axes)
Asymmetric unit:
Pr  0.0000  0.0000  0.0000
Pr  0.0000  0.0000  0.5000
Pr  0.0510  0.8009  0.1741
Ag  0.0488  0.8187  0.6902


Entry 4:
The following is a calculated powder diffractogram of KTlSn. It was derived from DFT lattice parameters and positions (GGA-PBE), using Cu Kα (weighted mean of Kα1 and Kα2).

Top 8 peaks for 15 to 90 degrees two-theta, in order of rising 2θ:
(2 0 0), d = 5.081 Å, I 59.6; (0 1 1), d = 4.121 Å, I 39.4; (2 1 0), d = 3.374 Å, I 100.0; (2 1 1), d = 3.201 Å, I 48.6; (2 0 3), d = 2.808 Å, I 66.0; (0 1 3), d = 2.699 Å, I 93.8; (0 2 0), d = 2.258 Å, I 43.2; (4 0 3), d = 2.027 Å, I 43.1

Lattice parameters (Å, degrees): 10.162 4.514 10.103 90.00 90.00 90.00
Space group Pnma (No. 62)
Asymmetric unit:
K  0.183  0.250  0.085
Tl  0.058  0.250  0.746
Sn  0.083  0.250  0.440


Please write out number 3 again, unchanged.
The following is a calculated powder diffractogram of Pr4Ag3. It was derived from DFT lattice parameters and positions (GGA-PBE), using Cu Kα (weighted mean of Kα1 and Kα2).

Top 8 peaks for 15 to 90 degrees two-theta, in order of rising 2θ:
(3 -1 1), d = 3.829 Å, I 1.3; (1 3 1), d = 3.055 Å, I 1.2; (4 1 0), d = 2.708 Å, I 100.0; (6 -2 2), d = 1.915 Å, I 17.0; (3 6 0), d = 1.563 Å, I 33.3; (8 2 0), d = 1.354 Å, I 10.0; (11 -6 2), d = 1.211 Å, I 12.9; (4 8 2), d = 1.105 Å, I 3.2

Lattice parameters (Å, degrees): 14.3291 14.3291 6.6325 90.00 90.00 120.00
Space group R-3 (No. 148, hexagonal axes)
Asymmetric unit:
Pr  0.0000  0.0000  0.0000
Pr  0.0000  0.0000  0.5000
Pr  0.0510  0.8009  0.1741
Ag  0.0488  0.8187  0.6902


Which formula does entry 2 have? KCd6Bi4